Entry 1:
Structure and theoretical X-ray diffraction stick pattern of Cs2NaNdCl6 (a crystal structure in the Materials Project, relaxed with GGA-PBE; CuKα).
Kinematic intensities with the Lorentz-polarization factor, no thermal factor.

Top 8 peaks for 10 to 90 degrees two-theta, by angle:
| d/Å | 2θ/deg | I/Imax | index |
| --- | --- | --- | --- |
| 6.396 | 13.85 | 25 | 1 1 1 |
| 3.917 | 22.70 | 100 | 2 2 0 |
| 3.198 | 27.90 | 31 | 2 2 2 |
| 2.770 | 32.32 | 68 | 4 0 0 |
| 2.261 | 39.86 | 47 | 4 2 2 |
| 1.958 | 46.36 | 47 | 4 4 0 |
| 1.752 | 52.22 | 22 | 6 2 0 |
| 1.480 | 62.76 | 25 | 6 4 2 |

```
data_Cs2NaNdCl6
_chemical_formula_sum 'Cs8 Na4 Nd4 Cl24'
_symmetry_space_group_name_H-M 'F m -3 m'
_symmetry_Int_Tables_number 225
_symmetry_space_group_name_Hall '-F 4 2 3'
_cell_length_a 11.079
_cell_length_b 11.079
_cell_length_c 11.079
_cell_angle_alpha 90.00
_cell_angle_beta 90.00
_cell_angle_gamma 90.00
loop_
_atom_site_label
_atom_site_type_symbol
_atom_site_fract_x
_atom_site_fract_y
_atom_site_fract_z
Cs1 Cs 0.250 0.250 0.250
Na1 Na 0.000 0.000 0.000
Nd1 Nd 0.000 0.000 0.500
Cl1 Cl 0.000 0.000 0.253
```

***

Entry 2:
Structure and theoretical X-ray diffraction stick pattern of Cs2NaSmCl6 (a crystal structure in the Materials Project, relaxed with GGA-PBE; CuKα).
Kinematic intensities with the Lorentz-polarization factor, no thermal factor.

Top 8 peaks for 10 to 90 degrees two-theta, by angle:
| d/Å | 2θ/deg | I/Imax | index |
| --- | --- | --- | --- |
| 6.362 | 13.92 | 28 | 1 1 1 |
| 3.896 | 22.82 | 100 | 2 2 0 |
| 3.181 | 28.05 | 29 | 2 2 2 |
| 2.755 | 32.50 | 67 | 4 0 0 |
| 2.249 | 40.09 | 47 | 4 2 2 |
| 1.948 | 46.62 | 46 | 4 4 0 |
| 1.742 | 52.52 | 22 | 6 2 0 |
| 1.473 | 63.14 | 25 | 6 4 2 |

```
data_Cs2NaSmCl6
_chemical_formula_sum 'Cs8 Na4 Sm4 Cl24'
_symmetry_space_group_name_H-M 'F m -3 m'
_symmetry_Int_Tables_number 225
_symmetry_space_group_name_Hall '-F 4 2 3'
_cell_length_a 11.020
_cell_length_b 11.020
_cell_length_c 11.020
_cell_angle_alpha 90.00
_cell_angle_beta 90.00
_cell_angle_gamma 90.00
loop_
_atom_site_label
_atom_site_type_symbol
_atom_site_fract_x
_atom_site_fract_y
_atom_site_fract_z
Cs1 Cs 0.250 0.250 0.250
Na1 Na 0.000 0.000 0.000
Sm1 Sm 0.000 0.000 0.500
Cl1 Cl 0.000 0.000 0.255
```

***

Entry 3:
Structure and theoretical X-ray diffraction stick pattern of Cs2NaTbCl6 (a crystal structure in the Materials Project, relaxed with GGA-PBE; CuKα).
Kinematic intensities with the Lorentz-polarization factor, no thermal factor.

Top 8 peaks for 10 to 90 degrees two-theta, by angle:
| d/Å | 2θ/deg | I/Imax | index |
| --- | --- | --- | --- |
| 6.314 | 14.03 | 31 | 1 1 1 |
| 3.866 | 23.00 | 100 | 2 2 0 |
| 3.157 | 28.27 | 27 | 2 2 2 |
| 2.734 | 32.76 | 65 | 4 0 0 |
| 2.232 | 40.41 | 47 | 4 2 2 |
| 1.933 | 47.00 | 45 | 4 4 0 |
| 1.729 | 52.96 | 22 | 6 2 0 |
| 1.461 | 63.68 | 25 | 6 4 2 |

```
data_Cs2NaTbCl6
_chemical_formula_sum 'Cs8 Na4 Tb4 Cl24'
_symmetry_space_group_name_H-M 'F m -3 m'
_symmetry_Int_Tables_number 225
_symmetry_space_group_name_Hall '-F 4 2 3'
_cell_length_a 10.936
_cell_length_b 10.936
_cell_length_c 10.936
_cell_angle_alpha 90.00
_cell_angle_beta 90.00
_cell_angle_gamma 90.00
loop_
_atom_site_label
_atom_site_type_symbol
_atom_site_fract_x
_atom_site_fract_y
_atom_site_fract_z
Cs1 Cs 0.250 0.250 0.250
Na1 Na 0.000 0.000 0.000
Tb1 Tb 0.000 0.000 0.500
Cl1 Cl 0.000 0.000 0.257
```

***

Entry 4:
Structure and theoretical X-ray diffraction stick pattern of Cs2NaYCl6 (a crystal structure in the Materials Project, relaxed with GGA-PBE; CuKα).
Kinematic intensities with the Lorentz-polarization factor, no thermal factor.

Top 8 peaks for 10 to 90 degrees two-theta, by angle:
| d/Å | 2θ/deg | I/Imax | index |
| --- | --- | --- | --- |
| 3.859 | 23.05 | 100 | 2 2 0 |
| 3.150 | 28.33 | 58 | 2 2 2 |
| 2.728 | 32.83 | 78 | 4 0 0 |
| 2.228 | 40.49 | 46 | 4 2 2 |
| 1.929 | 47.11 | 52 | 4 4 0 |
| 1.645 | 55.88 | 22 | 6 2 2 |
| 1.458 | 63.82 | 25 | 6 4 2 |
| 1.220 | 78.37 | 22 | 8 4 0 |

```
data_Cs2NaYCl6
_chemical_formula_sum 'Cs8 Na4 Y4 Cl24'
_symmetry_space_group_name_H-M 'F m -3 m'
_symmetry_Int_Tables_number 225
_symmetry_space_group_name_Hall '-F 4 2 3'
_cell_length_a 10.914
_cell_length_b 10.914
_cell_length_c 10.914
_cell_angle_alpha 90.00
_cell_angle_beta 90.00
_cell_angle_gamma 90.00
loop_
_atom_site_label
_atom_site_type_symbol
_atom_site_fract_x
_atom_site_fract_y
_atom_site_fract_z
Cs1 Cs 0.250 0.250 0.250
Na1 Na 0.000 0.000 0.000
Y1 Y 0.000 0.000 0.500
Cl1 Cl 0.000 0.000 0.258
```